The following is a computed X-ray diffraction stick pattern of Tm4Cr6O19. It was derived from a GGA+U-relaxed structure, using CuKα.
Neutral-atom scattering factors, no anomalous dispersion.

Main lines, by angle (2θ = 5–70°):
2θ/deg  I_rel
14.28  9
24.86  100
32.27  57
35.44  29
38.39  21
43.78  41
51.00  13
53.24  28
57.54  34
63.64  16

Structure:
a b c (Å): 7.5980 7.5980 7.5980
angles (deg): 109.47 109.47 109.47
Fractional positions:
Tm  0.0000  0.0000  0.2967
Tm  0.0000  0.2967  0.0000
Tm  0.2967  0.0000  0.0000
Tm  0.7033  0.7033  0.7033
Cr  0.1601  0.5000  0.6601
Cr  0.3399  0.8399  0.5000
Cr  0.5000  0.3399  0.8399
Cr  0.5000  0.6601  0.1601
Cr  0.6601  0.1601  0.5000
Cr  0.8399  0.5000  0.3399
O  0.0000  0.0000  0.0000
O  0.0000  0.3450  0.3450
O  0.0000  0.6550  0.6550
O  0.0345  0.7413  0.3536
O  0.2587  0.2932  0.6123
O  0.2932  0.6123  0.2587
O  0.3191  0.7068  0.9655
O  0.3450  0.0000  0.3450
O  0.3450  0.3450  0.0000
O  0.3536  0.0345  0.7413
O  0.3877  0.6809  0.6464
O  0.6123  0.2587  0.2932
O  0.6464  0.3877  0.6809
O  0.6550  0.0000  0.6550
O  0.6550  0.6550  0.0000
O  0.6809  0.6464  0.3877
O  0.7068  0.9655  0.3191
O  0.7413  0.3536  0.0345
O  0.9655  0.3191  0.7068